1.
Theoretical powder diffraction line list of ScReSBr2 for a wavelength of 1.5418 Å, from DFT lattice parameters and positions (GGA-PBE).
Peak positions follow from Bragg's law for the DFT cell and can differ from measured ones.

Structure:
```
ScReSBr2
1.0
4.704 0.000 0.000
0.000 4.704 0.000
0.000 0.000 5.718
Sc Re S Br
1 1 1 2
Cartesian
0.000 0.000 0.000
0.000 0.000 2.859
2.352 2.352 0.000
0.000 2.352 2.859
2.352 0.000 2.859
```

Peak list (10 most intense, 2θ from 5° to 70°, in order of falling intensity)
2θ (°)	I/Imax
15.5	100
18.9	68
24.5	57
38.3	55
50.2	49
31.3	48
41.5	36
36.8	26
64.9	23
46.0	22



2.
Theoretical powder diffraction line list of Re3Se4Br for a wavelength of 1.5418 Å, from DFT lattice parameters and positions (GGA-PBE).
Peak positions follow from Bragg's law for the DFT cell and can differ from measured ones.

Structure:
```
Re3Se4Br
1.0
6.681 0.000 0.000
0.000 11.977 0.000
-4.282 0.000 10.948
Re Se Br
12 16 4
Cartesian
-0.480 0.853 1.605
-2.622 5.136 7.078
-3.808 1.674 10.234
-1.667 4.314 4.760
-0.400 6.207 6.104
1.742 11.760 0.630
0.657 0.218 10.318
2.798 5.771 4.844
4.065 7.663 6.188
6.206 10.303 0.714
5.020 6.842 3.869
2.879 11.125 9.343
-0.461 8.597 5.249
-2.603 9.370 10.723
-1.387 6.990 8.306
0.754 10.976 2.832
-1.725 0.626 9.197
0.416 5.363 3.723
1.665 2.177 1.473
-0.477 3.811 6.947
2.875 8.166 4.000
0.734 9.800 9.474
1.982 6.615 7.225
4.123 11.351 1.751
1.644 1.001 8.116
3.785 4.987 2.642
5.001 2.608 0.225
2.860 3.381 5.699
-1.038 1.847 4.002
-3.179 4.142 9.476
5.577 7.836 1.472
3.436 10.131 6.946
```

Peak list (10 most intense, 2θ from 5° to 70°, in order of falling intensity)
2θ (°)	I/Imax
10.9	100
14.2	16
15.5	13
41.6	8
44.8	7
14.8	6
41.3	6
43.7	5
39.9	5
44.0	4



3.
Theoretical powder diffraction line list of SmReBr for a wavelength of 1.5418 Å, from DFT lattice parameters and positions (GGA-PBE).
Peak positions follow from Bragg's law for the DFT cell and can differ from measured ones.

Structure:
```
SmReBr
1.0
4.170 0.000 0.000
-2.084 3.612 0.000
-0.015 -2.311 11.717
Sm Re Br
2 2 2
Cartesian
0.000 0.000 0.000
0.000 -0.001 4.461
0.000 2.408 2.094
2.085 1.203 2.365
2.070 -1.108 9.865
2.084 1.202 6.353
```

Peak list (10 most intense, 2θ from 5° to 70°, in order of falling intensity)
2θ (°)	I/Imax
7.5	100
43.4	24
32.1	21
30.4	12
31.9	11
30.6	8
27.8	7
38.4	7
44.1	6
35.6	5



4.
Theoretical powder diffraction line list of Re3Te7Br7 for a wavelength of 1.5418 Å, from DFT lattice parameters and positions (GGA-PBE).
Peak positions follow from Bragg's law for the DFT cell and can differ from measured ones.

Structure:
```
Re3Te7Br7
1.0
5.323 3.073 11.981
-5.323 3.073 11.981
0.000 -6.146 11.981
Re Te Br
6 14 14
Cartesian
-0.544 -4.675 13.099
-4.321 -1.866 22.843
-3.777 2.809 13.099
3.777 -2.809 22.843
4.321 1.866 13.099
0.544 4.675 22.843
-1.096 -3.207 10.879
0.000 0.000 3.325
-1.359 -2.569 14.558
-2.230 2.553 10.879
-2.905 -0.108 21.384
-3.325 -0.655 25.064
-1.546 2.461 14.558
1.546 -2.461 21.384
3.325 0.655 10.879
2.904 0.108 14.558
2.230 -2.553 25.064
1.359 2.569 21.384
0.000 0.000 32.617
1.096 3.207 25.064
-2.262 0.511 7.731
0.688 -2.214 7.731
-2.185 0.784 16.381
-1.771 -1.500 19.561
0.000 0.000 12.976
0.413 -2.284 16.381
1.573 1.703 7.731
-1.573 -1.703 28.211
-0.413 2.284 19.561
0.000 0.000 22.966
1.771 1.500 16.381
2.185 -0.784 19.561
-0.688 2.214 28.211
2.262 -0.511 28.211
```

Peak list (10 most intense, 2θ from 5° to 70°, in order of falling intensity)
2θ (°)	I/Imax
7.4	100
10.8	95
9.9	70
27.5	29
32.5	23
40.7	16
28.5	16
44.0	15
51.5	15
26.0	14



5.
Theoretical powder diffraction line list of Tl3ReBr7 for a wavelength of 1.5418 Å, from DFT lattice parameters and positions (GGA-PBE).
Peak positions follow from Bragg's law for the DFT cell and can differ from measured ones.

Structure:
```
Tl3ReBr7
1.0
5.714 -4.964 0.000
5.714 4.964 0.000
-4.081 0.000 7.351
Tl Re Br
3 1 7
Cartesian
0.000 0.000 0.000
3.609 2.103 3.938
3.609 -2.103 3.938
5.554 0.000 0.157
0.827 1.794 5.824
3.214 0.000 1.123
6.225 1.828 1.779
0.827 -1.794 5.824
3.850 0.000 6.585
6.225 -1.828 1.779
8.579 0.000 4.577
```

Peak list (10 most intense, 2θ from 5° to 70°, in order of falling intensity)
2θ (°)	I/Imax
21.6	100
17.8	75
31.7	60
36.7	56
22.0	52
32.1	44
36.8	42
32.7	31
28.4	25
53.4	25



6.
Theoretical powder diffraction line list of V3ReBr for a wavelength of 1.5418 Å, from DFT lattice parameters and positions (GGA-PBE).
Peak positions follow from Bragg's law for the DFT cell and can differ from measured ones.

Structure:
```
V3ReBr
1.0
4.378 0.000 0.000
0.000 4.378 0.000
0.000 0.000 4.378
V Re Br
3 1 1
Cartesian
0.000 0.000 2.189
0.000 2.189 0.000
2.189 0.000 0.000
2.189 2.189 2.189
0.000 0.000 0.000
```

Peak list (9 most intense, 2θ from 5° to 70°, in order of falling intensity)
2θ (°)	I/Imax
28.8	100
41.2	71
35.5	53
59.7	46
51.1	42
67.7	19
20.3	6
46.4	4
63.8	2



7.
Theoretical powder diffraction line list of VZnRe2Br for a wavelength of 1.5418 Å, from DFT lattice parameters and positions (GGA-PBE).
Peak positions follow from Bragg's law for the DFT cell and can differ from measured ones.

Structure:
```
VZnRe2Br
1.0
4.641 0.000 0.000
0.000 4.641 0.000
0.000 0.000 4.804
V Zn Re Br
1 1 2 1
Cartesian
0.000 0.000 0.000
2.320 2.320 2.402
0.000 2.320 0.000
2.320 0.000 0.000
0.000 0.000 2.402
```

Peak list (10 most intense, 2θ from 5° to 70°, in order of falling intensity)
2θ (°)	I/Imax
33.1	100
38.8	48
55.0	34
18.5	33
66.6	27
37.4	26
69.4	17
56.0	16
43.3	15
64.8	15



Please write out number 1 again, unchanged.
Theoretical powder diffraction line list of ScReSBr2 for a wavelength of 1.5418 Å, from DFT lattice parameters and positions (GGA-PBE).
Peak positions follow from Bragg's law for the DFT cell and can differ from measured ones.

Structure:
```
ScReSBr2
1.0
4.704 0.000 0.000
0.000 4.704 0.000
0.000 0.000 5.718
Sc Re S Br
1 1 1 2
Cartesian
0.000 0.000 0.000
0.000 0.000 2.859
2.352 2.352 0.000
0.000 2.352 2.859
2.352 0.000 2.859
```

Peak list (10 most intense, 2θ from 5° to 70°, in order of falling intensity)
2θ (°)	I/Imax
15.5	100
18.9	68
24.5	57
38.3	55
50.2	49
31.3	48
41.5	36
36.8	26
64.9	23
46.0	22